[1]
# Fe10O9F11
Simulated powder diffractogram, Cu Kα. Input: the PBE+U geometry in the Materials Project.

Structure:
```
Fe10O9F11
1.0
4.7469 0.0000 0.0000
0.1365 4.7581 0.0000
0.0408 0.0613 15.6053
Fe O F
10 9 11
Direct
0.0000 0.0000 0.0000
0.0021 0.0234 0.6035
0.0036 0.0111 0.8006
0.0199 0.0437 0.2029
0.5126 0.5835 0.8970
0.5269 0.5405 0.3057
0.5455 0.5521 0.5032
0.5631 0.5034 0.0923
0.5744 0.5237 0.7010
0.9978 0.0033 0.3871
0.2010 0.8493 0.9021
0.2183 0.8287 0.2939
0.7099 0.7180 0.0001
0.7097 0.7200 0.4002
0.7157 0.7083 0.5986
0.7155 0.7251 0.8014
0.8177 0.2294 0.2958
0.8388 0.2169 0.7072
0.8429 0.2068 0.0998
0.2108 0.8323 0.4937
0.2297 0.8157 0.1007
0.2331 0.8121 0.7061
0.3181 0.3289 0.4009
0.3235 0.3299 0.0006
0.3275 0.3355 0.8038
0.3382 0.3321 0.5969
0.3377 0.3363 0.1944
0.7195 0.7153 0.1956
0.8094 0.2326 0.9034
0.8223 0.2179 0.4906
```

Main lines, by angle (2θ = 15–90°):
- d 3.409, 2θ 26.14, I = 100
- d 3.313, 2θ 26.91, I = 93
- d 2.612, 2θ 34.33, I = 50
- d 2.605, 2θ 34.43, I = 52
- d 1.774, 2θ 51.51, I = 29
- d 1.767, 2θ 51.74, I = 30
- d 1.742, 2θ 52.54, I = 40
- d 1.412, 2θ 66.18, I = 25


[2]
# Rb2CrF6
Simulated powder diffractogram, Cu Kα. Input: the PBE+U geometry in the Materials Project.

Structure:
```
Rb2CrF6
1.0
0.0000 4.3653 4.3653
4.3653 0.0000 4.3653
4.3653 4.3653 0.0000
Rb Cr F
2 1 6
Direct
0.2500 0.2500 0.2500
0.7500 0.7500 0.7500
0.0000 0.0000 0.0000
0.2141 0.2141 0.7859
0.2141 0.7859 0.2141
0.2141 0.7859 0.7859
0.7859 0.2141 0.2141
0.7859 0.2141 0.7859
0.7859 0.7859 0.2141
```

Main lines, by angle (2θ = 15–90°):
- d 5.041, 2θ 17.60, I = 42
- d 3.087, 2θ 28.93, I = 100
- d 2.520, 2θ 35.62, I = 51
- d 2.183, 2θ 41.37, I = 52
- d 1.782, 2θ 51.26, I = 34
- d 1.543, 2θ 59.94, I = 28
- d 1.380, 2θ 67.90, I = 21
- d 1.167, 2θ 82.72, I = 22


[3]
# MgCo3NiO8
Simulated powder diffractogram, Cu Kα. Input: the PBE+U geometry in the Materials Project.

Structure:
```
MgCo3NiO8
1.0
5.7211 0.0000 0.0000
-2.8566 5.0522 0.0000
-0.0167 -3.3041 4.8689
Mg Co Ni O
1 3 1 8
Direct
0.0000 0.0000 0.0000
0.1282 0.7445 0.3690
0.6187 0.7437 0.3684
0.6202 0.2370 0.3697
0.6230 0.2442 0.8691
0.3659 0.1829 0.5640
0.3715 0.7425 0.1521
0.3769 0.7492 0.5732
0.4167 0.2871 0.1578
0.8206 0.1826 0.5634
0.8658 0.7303 0.1487
0.8712 0.7384 0.5896
0.8731 0.2886 0.1583
```

Main lines, by angle (2θ = 15–90°):
- d 4.869, 2θ 18.22, I = 75
- d 4.755, 2θ 18.66, I = 59
- d 4.722, 2θ 18.79, I = 100
- d 2.505, 2θ 35.84, I = 30
- d 2.090, 2θ 43.29, I = 43
- d 2.053, 2θ 44.10, I = 41
- d 2.048, 2θ 44.23, I = 41
- d 1.451, 2θ 64.18, I = 29


[4]
# Li3Fe8B8O24
Simulated powder diffractogram, Cu Kα. Input: the PBE+U geometry in the Materials Project.

Structure:
```
Li3Fe8B8O24
1.0
5.2435 0.0000 0.0000
0.1042 9.1197 0.0000
2.5892 4.4423 10.1922
Li Fe B O
3 8 8 24
Direct
0.0000 0.0000 0.0000
0.2624 0.2865 0.7527
0.5392 0.5274 0.2540
0.0169 0.6743 0.9643
0.0527 0.3733 0.2244
0.2689 0.5993 0.4742
0.2792 0.9678 0.7192
0.5121 0.1933 0.9771
0.5361 0.8866 0.2269
0.7602 0.0955 0.4804
0.7982 0.4750 0.7176
0.0498 0.7177 0.2128
0.2622 0.9361 0.4655
0.3007 0.6276 0.7269
0.5091 0.8449 0.9788
0.5572 0.2204 0.2256
0.7742 0.4295 0.4656
0.7877 0.1491 0.7220
0.9967 0.3464 0.9677
0.0043 0.9500 0.4673
0.0379 0.1331 0.7386
0.0749 0.4441 0.0262
0.1323 0.2217 0.9586
0.1491 0.7279 0.7756
0.1800 0.5252 0.6861
0.2631 0.8546 0.9470
0.2904 0.7039 0.2478
0.3943 0.0202 0.5152
0.4002 0.8332 0.4141
0.4140 0.3485 0.2230
0.4788 0.1117 0.1809
0.5342 0.4577 0.4407
0.5601 0.6270 0.7203
0.5893 0.9603 0.0204
0.6289 0.2579 0.7591
0.6669 0.7277 0.9730
0.6726 0.0600 0.6697
0.7777 0.3857 0.9151
0.7860 0.2008 0.2703
0.8879 0.5043 0.5283
0.9024 0.8441 0.2047
0.9228 0.3209 0.4216
0.9597 0.5969 0.1795
```

Main lines, by angle (2θ = 15–90°):
- d 4.564, 2θ 19.45, I = 46
- d 4.523, 2θ 19.63, I = 80
- d 4.149, 2θ 21.42, I = 48
- d 4.139, 2θ 21.47, I = 100
- d 3.420, 2θ 26.05, I = 72
- d 3.379, 2θ 26.37, I = 49
- d 2.619, 2θ 34.23, I = 69
- d 2.548, 2θ 35.22, I = 92


[5]
# Mn4O7F
Simulated powder diffractogram, Cu Kα. Input: the PBE+U geometry in the Materials Project.

Structure:
```
Mn4O7F
1.0
4.9612 0.0000 0.0000
0.0000 5.4850 0.0000
-4.9348 0.0000 8.9234
Mn O F
8 14 2
Direct
0.0000 0.1321 0.0000
0.0000 0.8679 0.5000
0.2097 0.3562 0.7373
0.2097 0.6438 0.2373
0.4803 0.1509 0.4873
0.4803 0.8491 0.9873
0.7310 0.3342 0.2367
0.7310 0.6658 0.7367
0.1695 0.3878 0.3563
0.1695 0.6122 0.8563
0.1950 0.1130 0.8761
0.1950 0.8870 0.3761
0.2746 0.1188 0.6099
0.2746 0.8812 0.1099
0.2896 0.3804 0.1277
0.2896 0.6196 0.6277
0.7011 0.1122 0.3772
0.7011 0.8878 0.8772
0.7725 0.1012 0.1065
0.7725 0.8988 0.6065
0.7767 0.3925 0.6233
0.7767 0.6075 0.1233
0.6824 0.3787 0.8643
0.6824 0.6213 0.3643
```

Main lines, by angle (2θ = 15–90°):
- d 3.461, 2θ 25.74, I = 59
- d 2.839, 2θ 31.52, I = 100
- d 2.400, 2θ 37.47, I = 22
- d 2.114, 2θ 42.78, I = 17
- d 1.692, 2θ 54.22, I = 14
- d 1.656, 2θ 55.48, I = 12
- d 1.634, 2θ 56.30, I = 39
- d 1.416, 2θ 65.96, I = 17


[6]
# Li3VO3F
Simulated powder diffractogram, Cu Kα. Input: the PBE+U geometry in the Materials Project.

Structure:
```
Li3VO3F
1.0
7.2015 0.0000 0.0000
-2.4010 6.8017 0.0000
-2.3482 -3.4312 5.9144
Li V O F
12 4 12 4
Direct
0.0000 0.0000 0.0000
0.0012 0.7262 0.2519
0.2322 0.4889 0.2422
0.2355 0.7304 0.0081
0.2528 0.9906 0.7457
0.4870 0.9682 0.4787
0.4948 0.2267 0.2422
0.7424 0.9902 0.2515
0.7479 0.7504 0.4963
0.7679 0.2449 0.0183
0.9838 0.2441 0.7529
0.9861 0.4829 0.4888
0.2103 0.2268 0.4888
0.4715 0.4864 0.0071
0.4714 0.7432 0.7484
0.7343 0.4628 0.7479
0.0105 0.2373 0.2615
0.0189 0.0061 0.5021
0.2468 0.4866 0.7498
0.2600 0.7348 0.5118
0.2680 0.2513 0.9950
0.4820 0.4845 0.5241
0.4851 0.2514 0.7462
0.5010 0.7280 0.2344
0.5012 0.9673 0.9825
0.7140 0.7049 0.9701
0.7343 0.2604 0.5167
0.9696 0.4859 0.9857
0.2380 0.9919 0.2460
0.7366 0.4924 0.2521
0.7379 0.9772 0.7453
0.9785 0.7366 0.7519
```

Main lines, by angle (2θ = 15–90°):
- d 5.886, 2θ 15.05, I = 100
- d 3.416, 2θ 26.09, I = 26
- d 3.402, 2θ 26.20, I = 71
- d 2.096, 2θ 43.16, I = 51
- d 2.081, 2θ 43.48, I = 49
- d 2.075, 2θ 43.62, I = 48
- d 1.478, 2θ 62.90, I = 38
- d 1.471, 2θ 63.22, I = 24


[7]
# Fe8O9
Simulated powder diffractogram, Cu Kα. Input: the PBE+U geometry in the Materials Project.

Structure:
```
Fe8O9
1.0
6.1912 0.0000 0.0000
-1.6222 6.6402 0.0000
-0.0470 -2.1500 9.0094
Fe O
16 18
Direct
0.0000 0.0000 0.0000
0.0019 0.0076 0.3392
0.1620 0.6702 0.4531
0.1690 0.6740 0.1173
0.3205 0.3509 0.8901
0.3277 0.3394 0.5594
0.3335 0.3274 0.2273
0.4890 0.0016 0.9997
0.4899 0.9988 0.6698
0.6555 0.6778 0.4455
0.6597 0.6744 0.1212
0.6651 0.6636 0.7798
0.8201 0.3261 0.2289
0.8234 0.3325 0.5565
0.8362 0.3461 0.8912
0.9950 0.9979 0.6722
0.0550 0.3103 0.7203
0.0731 0.3270 0.0627
0.0788 0.3361 0.3905
0.2210 0.0046 0.5193
0.2288 0.0056 0.1539
0.2361 0.0249 0.8452
0.4163 0.6489 0.2759
0.4310 0.6714 0.6007
0.4393 0.6694 0.9607
0.5745 0.3279 0.7250
0.5892 0.3503 0.0588
0.5946 0.3657 0.3986
0.7590 0.9901 0.5144
0.7604 0.9955 0.1527
0.7625 0.9987 0.8390
0.8940 0.6716 0.2816
0.8966 0.6813 0.6056
0.9016 0.6820 0.9709
```

Main lines, by angle (2θ = 15–90°):
- d 2.529, 2θ 35.50, I = 44
- d 2.509, 2θ 35.79, I = 86
- d 2.498, 2θ 35.95, I = 43
- d 2.192, 2θ 41.19, I = 100
- d 2.180, 2θ 41.41, I = 98
- d 2.153, 2θ 41.96, I = 95
- d 1.548, 2θ 59.75, I = 28
- d 1.543, 2θ 59.93, I = 55


[8]
# NaNiO2
Simulated powder diffractogram, Cu Kα. Input: the PBE+U geometry in the Materials Project.

Structure:
```
NaNiO2
1.0
3.0065 0.0000 0.0000
-1.5032 2.6037 0.0000
0.0000 0.0000 15.9194
Na Ni O
3 3 6
Direct
0.0000 0.0000 0.0000
0.3333 0.6667 0.6667
0.6667 0.3333 0.3333
0.0000 0.0000 0.5000
0.3333 0.6667 0.1667
0.6667 0.3333 0.8333
0.0000 0.0000 0.2320
0.0000 0.0000 0.7680
0.3333 0.6667 0.4346
0.3333 0.6667 0.8987
0.6667 0.3333 0.1013
0.6667 0.3333 0.5654
```

Main lines, by angle (2θ = 15–90°):
- d 5.306, 2θ 16.71, I = 69
- d 2.653, 2θ 33.78, I = 17
- d 2.570, 2θ 34.92, I = 16
- d 2.475, 2θ 36.30, I = 35
- d 2.179, 2θ 41.44, I = 100
- d 1.713, 2θ 53.50, I = 12
- d 1.581, 2θ 58.37, I = 28
- d 1.503, 2θ 61.71, I = 27